Entry 1:
Structure and calculated powder diffractogram of MnGaAs2Se (DFT lattice parameters and positions (PBE); a wavelength of 1.5418 Å).
Intensities are scaled so that the largest is 100.

Top 10 peaks for 10° ≤ 2θ ≤ 90°, in order of falling intensity:
| d (Å) | 2θ (°) | I (rel.) |
| --- | --- | --- |
| 2.751 | 32.55 | 100 |
| 2.271 | 39.70 | 60 |
| 1.729 | 52.97 | 51 |
| 2.667 | 33.61 | 48 |
| 1.387 | 67.55 | 24 |
| 1.375 | 68.18 | 23 |
| 1.606 | 57.39 | 20 |
| 1.555 | 59.43 | 18 |
| 1.150 | 84.21 | 13 |
| 1.117 | 87.28 | 12 |

Structural model:
Unit cell a=4.5411 b=4.5411 c=5.3334 alpha=90.00 beta=90.00 gamma=90.00
Fractional coordinates of all 5 atoms:
1 Mn 0.0000 0.0000 0.0000
2 Ga 0.5000 0.5000 0.5000
3 As 0.0000 0.5000 0.0000
4 As 0.5000 0.0000 0.0000
5 Se 0.0000 0.0000 0.5000

---

Entry 2:
Structure and calculated powder diffractogram of V5Cr2Co (DFT lattice parameters and positions (PBE); a wavelength of 1.5418 Å).
Intensities are scaled so that the largest is 100.

Top 10 peaks for 10° ≤ 2θ ≤ 90°, in order of falling intensity:
| d (Å) | 2θ (°) | I (rel.) |
| --- | --- | --- |
| 2.203 | 40.96 | 100 |
| 1.898 | 47.92 | 43 |
| 2.083 | 43.45 | 16 |
| 2.390 | 37.63 | 15 |
| 1.928 | 47.13 | 12 |
| 1.362 | 68.94 | 12 |
| 2.122 | 42.60 | 11 |
| 1.159 | 83.35 | 9 |
| 1.141 | 85.04 | 8 |
| 1.353 | 69.49 | 7 |

Structural model:
Unit cell a=7.1748 b=7.1748 c=7.1748 alpha=130.54 beta=130.54 gamma=72.54
Fractional coordinates of all 16 atoms:
1 V 0.0000 0.0000 0.0000
2 V 0.0054 0.5054 0.8263
3 V 0.1792 0.0054 0.5000
4 V 0.3208 0.8208 0.8263
5 V 0.4946 0.3208 0.5000
6 V 0.5000 0.5000 0.0000
7 V 0.5054 0.6792 0.5000
8 V 0.6792 0.1792 0.1737
9 V 0.8208 0.9946 0.5000
10 V 0.9946 0.4946 0.1737
11 Cr 0.1480 0.3520 0.5000
12 Cr 0.3520 0.8520 0.2040
13 Cr 0.6480 0.1480 0.7960
14 Cr 0.8520 0.6480 0.5000
15 Co 0.2500 0.2500 0.0000
16 Co 0.7500 0.7500 0.0000

---

Entry 3:
Structure and calculated powder diffractogram of Sr4LaRe (DFT lattice parameters and positions (PBE); a wavelength of 1.5418 Å).
Intensities are scaled so that the largest is 100.

Top 10 peaks for 10° ≤ 2θ ≤ 90°, in order of falling intensity:
| d (Å) | 2θ (°) | I (rel.) |
| --- | --- | --- |
| 2.968 | 30.11 | 100 |
| 3.481 | 25.59 | 47 |
| 1.895 | 48.02 | 36 |
| 1.740 | 52.59 | 29 |
| 2.842 | 31.48 | 23 |
| 1.282 | 73.95 | 23 |
| 2.010 | 45.12 | 21 |
| 1.501 | 61.79 | 13 |
| 1.137 | 85.40 | 12 |
| 1.316 | 71.75 | 10 |

Structural model:
Unit cell a=6.9614 b=6.9614 c=6.9614 alpha=60.00 beta=60.00 gamma=60.00
Fractional coordinates of all 6 atoms:
1 Sr 0.3760 0.3760 0.3760
2 Sr 0.3760 0.3760 0.8720
3 Sr 0.3760 0.8720 0.3760
4 Sr 0.8720 0.3760 0.3760
5 La 0.0000 0.0000 0.0000
6 Re 0.7500 0.7500 0.7500

---

Entry 4:
Structure and calculated powder diffractogram of RbTc2F11 (DFT lattice parameters and positions (PBE); a wavelength of 1.5418 Å).
Intensities are scaled so that the largest is 100.

Top 10 peaks for 10° ≤ 2θ ≤ 90°, in order of falling intensity:
| d (Å) | 2θ (°) | I (rel.) |
| --- | --- | --- |
| 4.385 | 20.25 | 100 |
| 4.036 | 22.02 | 83 |
| 4.076 | 21.81 | 72 |
| 5.700 | 15.55 | 54 |
| 2.192 | 41.18 | 43 |
| 2.123 | 42.59 | 36 |
| 3.715 | 23.95 | 31 |
| 2.851 | 31.37 | 26 |
| 3.092 | 28.88 | 26 |
| 3.675 | 24.22 | 22 |

Structural model:
Unit cell a=8.9214 b=8.9214 c=8.9214 alpha=114.79 beta=113.40 gamma=100.58
Fractional coordinates of all 28 atoms:
1 Rb 0.2500 0.2500 0.0000
2 Rb 0.7500 0.7500 0.0000
3 Tc 0.1547 0.6421 0.7968
4 Tc 0.3453 0.1421 0.4873
5 Tc 0.6547 0.8579 0.5127
6 Tc 0.8453 0.3579 0.2032
7 F 0.0000 0.5000 0.5000
8 F 0.0554 0.3734 0.1942
9 F 0.1266 0.4198 0.7810
10 F 0.1387 0.9198 0.2932
11 F 0.1791 0.8612 0.8058
12 F 0.2024 0.2699 0.4724
13 F 0.2976 0.7699 0.0675
14 F 0.3209 0.1266 0.6821
15 F 0.3613 0.6545 0.7810
16 F 0.3734 0.1545 0.2932
17 F 0.4446 0.6388 0.3179
18 F 0.5000 0.0000 0.5000
19 F 0.5554 0.3612 0.6821
20 F 0.6266 0.8455 0.7068
21 F 0.6387 0.3455 0.2190
22 F 0.6791 0.8734 0.3179
23 F 0.7024 0.2301 0.9325
24 F 0.7976 0.7301 0.5276
25 F 0.8209 0.1388 0.1942
26 F 0.8613 0.0802 0.7068
27 F 0.8734 0.5802 0.2190
28 F 0.9446 0.6266 0.8058

---

Entry 5:
Structure and calculated powder diffractogram of LiReO4 (DFT lattice parameters and positions (PBE); a wavelength of 1.5418 Å).
Intensities are scaled so that the largest is 100.

Top 10 peaks for 10° ≤ 2θ ≤ 90°, in order of falling intensity:
| d (Å) | 2θ (°) | I (rel.) |
| --- | --- | --- |
| 4.105 | 21.65 | 100 |
| 4.428 | 20.05 | 70 |
| 4.472 | 19.86 | 63 |
| 3.217 | 27.73 | 56 |
| 2.862 | 31.26 | 43 |
| 3.639 | 24.46 | 35 |
| 2.014 | 45.02 | 25 |
| 2.404 | 37.42 | 24 |
| 2.490 | 36.08 | 23 |
| 2.049 | 44.19 | 21 |

Structural model:
Unit cell a=4.6325 b=4.6212 c=17.7135 alpha=90.00 beta=90.08 gamma=90.00
Fractional coordinates of all 24 atoms:
1 Li 0.2500 0.0045 0.1234
2 Li 0.2500 0.4955 0.6234
3 Li 0.7500 0.5045 0.3766
4 Li 0.7500 0.9955 0.8766
5 Re 0.2499 0.0046 0.3760
6 Re 0.2499 0.4954 0.8760
7 Re 0.7501 0.5046 0.1240
8 Re 0.7501 0.9954 0.6240
9 O 0.0251 0.7172 0.8210
10 O 0.0251 0.7828 0.3210
11 O 0.0285 0.2295 0.4310
12 O 0.0285 0.2705 0.9310
13 O 0.4720 0.7211 0.9307
14 O 0.4720 0.7789 0.4307
15 O 0.4736 0.2272 0.3211
16 O 0.4736 0.2728 0.8211
17 O 0.5264 0.7272 0.1789
18 O 0.5264 0.7728 0.6789
19 O 0.5280 0.2211 0.5693
20 O 0.5280 0.2789 0.0693
21 O 0.9715 0.7295 0.0690
22 O 0.9715 0.7705 0.5690
23 O 0.9749 0.2172 0.6790
24 O 0.9749 0.2828 0.1790

---

Entry 6:
Structure and calculated powder diffractogram of Ce2YEr3Te6 (DFT lattice parameters and positions (PBE); a wavelength of 1.5418 Å).
Intensities are scaled so that the largest is 100.

Top 10 peaks for 10° ≤ 2θ ≤ 90°, in order of falling intensity:
| d (Å) | 2θ (°) | I (rel.) |
| --- | --- | --- |
| 3.100 | 28.80 | 100 |
| 2.208 | 40.87 | 26 |
| 2.176 | 41.51 | 25 |
| 1.777 | 51.41 | 13 |
| 2.216 | 40.72 | 13 |
| 1.550 | 59.66 | 12 |
| 2.170 | 41.62 | 12 |
| 1.394 | 67.13 | 11 |
| 1.378 | 68.04 | 11 |
| 1.260 | 75.42 | 8 |

Structural model:
Unit cell a=9.8445 b=9.8445 c=8.8643 alpha=104.18 beta=104.18 gamma=25.47
Fractional coordinates of all 12 atoms:
1 Ce 0.1677 0.1677 0.3358
2 Ce 0.8323 0.8323 0.6642
3 Y 0.5000 0.5000 0.0000
4 Er 0.1684 0.1684 0.8337
5 Er 0.5000 0.5000 0.5000
6 Er 0.8316 0.8316 0.1663
7 Te 0.0036 0.0036 0.7493
8 Te 0.3334 0.3334 0.9259
9 Te 0.3371 0.3371 0.4083
10 Te 0.6629 0.6629 0.5917
11 Te 0.6666 0.6666 0.0741
12 Te 0.9964 0.9964 0.2507

---

Entry 7:
Structure and calculated powder diffractogram of Na3OsO6 (DFT lattice parameters and positions (PBE); a wavelength of 1.5418 Å).
Intensities are scaled so that the largest is 100.

Top 10 peaks for 10° ≤ 2θ ≤ 90°, in order of falling intensity:
| d (Å) | 2θ (°) | I (rel.) |
| --- | --- | --- |
| 4.440 | 20.00 | 100 |
| 2.728 | 32.83 | 39 |
| 2.877 | 31.09 | 31 |
| 4.982 | 17.80 | 26 |
| 3.490 | 25.52 | 23 |
| 1.631 | 56.43 | 22 |
| 1.979 | 45.84 | 21 |
| 1.863 | 48.89 | 19 |
| 4.891 | 18.14 | 17 |
| 2.479 | 36.23 | 13 |

Structural model:
Unit cell a=5.7530 b=5.7530 c=9.7814 alpha=90.00 beta=90.00 gamma=120.00
Fractional coordinates of all 20 atoms:
1 Na 0.0000 0.0000 0.0000
2 Na 0.0000 0.0000 0.5000
3 Na 0.3333 0.6667 0.0736
4 Na 0.3333 0.6667 0.4264
5 Na 0.6667 0.3333 0.5736
6 Na 0.6667 0.3333 0.9264
7 Os 0.3333 0.6667 0.7500
8 Os 0.6667 0.3333 0.2500
9 O 0.0834 0.3909 0.6388
10 O 0.0834 0.6926 0.8612
11 O 0.3074 0.3909 0.8612
12 O 0.3074 0.9166 0.6388
13 O 0.3909 0.0834 0.3612
14 O 0.3909 0.3074 0.1388
15 O 0.6091 0.6926 0.6388
16 O 0.6091 0.9166 0.8612
17 O 0.6926 0.0834 0.1388
18 O 0.6926 0.6091 0.3612
19 O 0.9166 0.3074 0.3612
20 O 0.9166 0.6091 0.1388

---

Entry 8:
Structure and calculated powder diffractogram of FeRuBr (DFT lattice parameters and positions (PBE); a wavelength of 1.5418 Å).
Intensities are scaled so that the largest is 100.

Top 10 peaks for 10° ≤ 2θ ≤ 90°, in order of falling intensity:
| d (Å) | 2θ (°) | I (rel.) |
| --- | --- | --- |
| 2.507 | 35.81 | 100 |
| 1.997 | 45.43 | 45 |
| 1.611 | 57.19 | 24 |
| 1.230 | 77.61 | 14 |
| 1.355 | 69.34 | 14 |
| 1.906 | 47.72 | 10 |
| 1.272 | 74.60 | 10 |
| 1.254 | 75.90 | 9 |
| 1.574 | 58.67 | 7 |
| 2.859 | 31.29 | 6 |

Structural model:
Unit cell a=3.2215 b=3.2215 c=5.7174 alpha=90.00 beta=90.00 gamma=120.00
Fractional coordinates of all 3 atoms:
1 Fe 0.0000 0.0000 0.0000
2 Ru 0.6667 0.3333 0.2684
3 Br 0.3333 0.6667 0.6525

---

Entry 9:
Structure and calculated powder diffractogram of Mn2Hg2Ir (DFT lattice parameters and positions (PBE); a wavelength of 1.5418 Å).
Intensities are scaled so that the largest is 100.

Top 10 peaks for 10° ≤ 2θ ≤ 90°, in order of falling intensity:
| d (Å) | 2θ (°) | I (rel.) |
| --- | --- | --- |
| 2.415 | 37.23 | 100 |
| 2.593 | 34.59 | 47 |
| 2.096 | 43.15 | 46 |
| 3.113 | 28.68 | 42 |
| 1.477 | 62.92 | 30 |
| 2.965 | 30.14 | 27 |
| 2.082 | 43.47 | 26 |
| 1.463 | 63.60 | 18 |
| 1.500 | 61.86 | 15 |
| 1.181 | 81.54 | 13 |

Structural model:
Unit cell a=6.6293 b=6.6293 c=4.1635 alpha=90.00 beta=90.00 gamma=90.00
Fractional coordinates of all 10 atoms:
1 Mn 0.1439 0.3561 0.0000
2 Mn 0.3561 0.8561 0.0000
3 Mn 0.6439 0.1439 0.0000
4 Mn 0.8561 0.6439 0.0000
5 Hg 0.1624 0.6624 0.5000
6 Hg 0.3376 0.1624 0.5000
7 Hg 0.6624 0.8376 0.5000
8 Hg 0.8376 0.3376 0.5000
9 Ir 0.0000 0.0000 0.0000
10 Ir 0.5000 0.5000 0.0000

---

Entry 10:
Structure and calculated powder diffractogram of HfPa2GaN6 (DFT lattice parameters and positions (PBE); a wavelength of 1.5418 Å).
Intensities are scaled so that the largest is 100.

Top 10 peaks for 10° ≤ 2θ ≤ 90°, in order of falling intensity:
| d (Å) | 2θ (°) | I (rel.) |
| --- | --- | --- |
| 2.930 | 30.51 | 100 |
| 2.830 | 31.61 | 98 |
| 1.652 | 55.62 | 40 |
| 2.035 | 44.51 | 39 |
| 4.071 | 21.83 | 32 |
| 1.846 | 49.36 | 27 |
| 1.634 | 56.30 | 25 |
| 1.274 | 74.46 | 16 |
| 1.712 | 53.52 | 14 |
| 1.415 | 66.02 | 13 |

Structural model:
Unit cell a=5.8668 b=5.8668 c=5.8668 alpha=57.68 beta=57.68 gamma=57.68
Fractional coordinates of all 10 atoms:
1 Hf 0.0000 0.0000 0.0000
2 Pa 0.2186 0.2186 0.2186
3 Pa 0.7160 0.7160 0.7160
4 Ga 0.4945 0.4945 0.4945
5 N 0.1387 0.3838 0.7976
6 N 0.3028 0.8905 0.6335
7 N 0.3838 0.7976 0.1387
8 N 0.6335 0.3028 0.8905
9 N 0.7976 0.1387 0.3838
10 N 0.8905 0.6335 0.3028

---

Entry 11:
Structure and calculated powder diffractogram of SrIn6 (DFT lattice parameters and positions (PBE); a wavelength of 1.5418 Å).
Intensities are scaled so that the largest is 100.

Top 10 peaks for 10° ≤ 2θ ≤ 90°, in order of falling intensity:
| d (Å) | 2θ (°) | I (rel.) |
| --- | --- | --- |
| 2.504 | 35.86 | 100 |
| 3.169 | 28.16 | 67 |
| 2.871 | 31.15 | 54 |
| 2.223 | 40.59 | 27 |
| 2.401 | 37.46 | 25 |
| 1.406 | 66.52 | 22 |
| 2.147 | 42.08 | 21 |
| 1.538 | 60.15 | 19 |
| 1.213 | 78.93 | 18 |
| 1.543 | 59.96 | 15 |

Structural model:
Unit cell a=6.7905 b=6.7905 c=8.8198 alpha=90.00 beta=90.00 gamma=90.00
Fractional coordinates of all 14 atoms:
1 Sr 0.2500 0.7500 0.0000
2 Sr 0.7500 0.2500 0.0000
3 In 0.0772 0.5772 0.3551
4 In 0.0772 0.9228 0.6449
5 In 0.2500 0.2500 0.1629
6 In 0.2500 0.2500 0.8371
7 In 0.4228 0.5772 0.6449
8 In 0.4228 0.9228 0.3551
9 In 0.5772 0.0772 0.6449
10 In 0.5772 0.4228 0.3551
11 In 0.7500 0.7500 0.1629
12 In 0.7500 0.7500 0.8371
13 In 0.9228 0.0772 0.3551
14 In 0.9228 0.4228 0.6449

---

Entry 12:
Structure and calculated powder diffractogram of Cd2Bi2Pb3 (DFT lattice parameters and positions (PBE); a wavelength of 1.5418 Å).
Intensities are scaled so that the largest is 100.

Top 10 peaks for 10° ≤ 2θ ≤ 90°, in order of falling intensity:
| d (Å) | 2θ (°) | I (rel.) |
| --- | --- | --- |
| 2.914 | 30.69 | 100 |
| 2.761 | 32.43 | 80 |
| 2.394 | 37.57 | 36 |
| 2.298 | 39.20 | 28 |
| 1.495 | 62.10 | 28 |
| 2.729 | 32.81 | 26 |
| 1.658 | 55.42 | 25 |
| 1.485 | 62.54 | 19 |
| 1.758 | 52.02 | 14 |
| 1.884 | 48.32 | 13 |

Structural model:
Unit cell a=13.3833 b=13.3833 c=3.4825 alpha=90.00 beta=90.00 gamma=160.22
Fractional coordinates of all 7 atoms:
1 Cd 0.1416 0.8584 0.0000
2 Cd 0.8584 0.1416 0.0000
3 Bi 0.2950 0.7050 0.5000
4 Bi 0.7050 0.2950 0.5000
5 Pb 0.0000 0.0000 0.0000
6 Pb 0.4250 0.5750 0.5000
7 Pb 0.5750 0.4250 0.5000